No. 1
Starting from the GGA-PBE geometry in Alexandria, the XRD peak list of Ba3Tb3NdSe8 was calculated for λ = 1.5418 Å (Cu Kα).
No peak broadening, texture or thermal motion is included.

Peak list (10 most intense, 2θ = 5–70°, in order of rising 2θ)
hkl 0 0 3, 2θ = 11.77°, d 7.520, rel. 13; hkl 2 0 2, 2θ = 25.45°, d 3.499, rel. 7; hkl 0 2 4, 2θ = 28.97°, d 3.083, rel. 100; hkl 2 0 8, 2θ = 40.29°, d 2.239, rel. 37; hkl 2 2 0, 2θ = 42.54°, d 2.125, rel. 36; hkl 0 0 12, 2θ = 48.42°, d 1.880, rel. 6; hkl 4 0 4, 2θ = 52.29°, d 1.750, rel. 19; hkl 0 4 8, 2θ = 60.02°, d 1.541, rel. 11; hkl 2 2 12, 2θ = 66.39°, d 1.408, rel. 14; hkl 2 4 4, 2θ = 69.60°, d 1.351, rel. 16

Structure:
Cell: 8.5007 8.5007 22.5611 Å, 90.00 90.00 120.00°
Space group R-3m (No. 166, hexagonal axes)
Symmetry-distinct sites (fractional):
1 Ba 0.0000 0.5000 0.0000
2 Tb 0.0000 0.5000 0.5000
3 Nd 0.0000 0.0000 0.5000
4 Se 0.0000 0.0000 0.2381
5 Se 0.0088 0.5044 0.7613

---

No. 2
Starting from the GGA-PBE geometry in Alexandria, the XRD peak list of Tm4CdTe2 was calculated for λ = 1.5418 Å (Cu Kα).
No peak broadening, texture or thermal motion is included.

Peak list (10 most intense, 2θ = 5–70°, in order of rising 2θ)
hkl 0 4 0, 2θ = 26.65°, d 3.345, rel. 90; hkl 1 3 3, 2θ = 29.92°, d 2.987, rel. 46; hkl 3 1 1, 2θ = 30.36°, d 2.944, rel. 100; hkl 1 1 5, 2θ = 35.54°, d 2.526, rel. 56; hkl 2 4 2, 2θ = 35.69°, d 2.516, rel. 27; hkl 3 3 1, 2θ = 35.93°, d 2.499, rel. 28; hkl 0 4 4, 2θ = 38.04°, d 2.366, rel. 48; hkl 3 3 3, 2θ = 40.83°, d 2.210, rel. 31; hkl 3 5 1, 2θ = 45.29°, d 2.002, rel. 27; hkl 4 2 4, 2θ = 49.68°, d 1.835, rel. 27

Structure:
Cell: 9.292 13.364 13.400 Å, 90.00 90.00 90.00°
Space group Fddd (No. 70, origin choice 2)
Symmetry-distinct sites (fractional):
1 Tm 0.071 0.279 0.471
2 Cd 0.125 0.125 0.625
3 Te 0.000 0.000 0.000

---

No. 3
Starting from the GGA-PBE geometry in Alexandria, the XRD peak list of Sr2CaAcIn4 was calculated for λ = 1.5418 Å (Cu Kα).
No peak broadening, texture or thermal motion is included.

Peak list (10 most intense, 2θ = 5–70°, in order of rising 2θ)
hkl 0 0 3, 2θ = 9.46°, d 9.352, rel. 7; hkl 1 0 1, 2θ = 18.23°, d 4.867, rel. 7; hkl 0 1 5, 2θ = 24.00°, d 3.708, rel. 5; hkl 1 0 7, 2θ = 28.67°, d 3.114, rel. 3; hkl 1 1 0, 2θ = 31.32°, d 2.856, rel. 100; hkl 2 0 8, 2θ = 44.88°, d 2.020, rel. 18; hkl 1 0 16, 2θ = 55.62°, d 1.653, rel. 9; hkl 3 0 0, 2θ = 55.78°, d 1.648, rel. 28; hkl 0 2 16, 2θ = 65.25°, d 1.430, rel. 6; hkl 2 2 0, 2θ = 65.43°, d 1.426, rel. 6

Structure:
Cell: 5.7058 5.7058 28.0559 Å, 90.00 90.00 120.00°
Space group R-3m (No. 166, hexagonal axes)
Symmetry-distinct sites (fractional):
1 Sr 0.0000 0.0000 0.2477
2 Ca 0.0000 0.0000 0.5000
3 Ac 0.0000 0.0000 0.0000
4 In 0.0000 0.0000 0.1261
5 In 0.0000 0.0000 0.3766